# Mg2GeMoO6
Theoretical powder XRD pattern, Cu Kα (weighted mean of Kα1 and Kα2). Input: DFT lattice parameters and positions (PBE+U).

Crystal structure
```
data_Mg2GeMoO6
_chemical_formula_sum 'Mg2 Ge1 Mo1 O6'
_cell_length_a 5.2003
_cell_length_b 5.2003
_cell_length_c 4.8876
_cell_angle_alpha 90.00
_cell_angle_beta 90.00
_cell_angle_gamma 90.00
_space_group_name_H-M_alt 'P 4 m m'
_space_group_IT_number 99
_space_group_name_Hall 'P 4 -2'
loop_
_atom_site_label
_atom_site_fract_x
_atom_site_fract_y
_atom_site_fract_z
_atom_site_occupancy
Mg1 0.0000 0.5000 0.0000 1
Ge1 0.0000 0.0000 0.6768 1
Mo1 0.5000 0.5000 0.6294 1
O1 0.0000 0.0000 0.3218 1
O2 0.2436 0.2436 0.8190 1
O3 0.5000 0.5000 0.2694 1
```

Most intense lines, 15 to 90 degrees two-theta, most intense first:
2theta  I (rel.)
30.42  1000
18.15  715
24.20  591
34.49  348
44.52  331
49.58  323
59.29  290
51.31  209
67.89  191
68.81  173